Record 1
Diffraction record for TbDyZn3. The X-ray powder pattern is simulated, not measured: it uses a PBE-relaxed structure and Cu Kα (λ = 1.5418 Å).
Neutral-atom scattering factors, no anomalous dispersion.

Most intense lines, 2θ = 10–90°, in order of falling intensity:
hkl 1 3 1, d = 2.673 Å, 2θ = 33.52°, rel. 100
hkl 1 7 0, d = 2.623 Å, 2θ = 34.18°, rel. 60
hkl 0 10 1, d = 2.306 Å, 2θ = 39.05°, rel. 51
hkl 0 0 2, d = 2.240 Å, 2θ = 40.27°, rel. 33
hkl 1 7 2, d = 1.703 Å, 2θ = 53.82°, rel. 33
hkl 0 4 1, d = 3.728 Å, 2θ = 23.87°, rel. 26
hkl 2 10 1, d = 1.416 Å, 2θ = 65.95°, rel. 25
hkl 2 0 0, d = 1.794 Å, 2θ = 50.90°, rel. 21
hkl 2 0 2, d = 1.400 Å, 2θ = 66.82°, rel. 18
hkl 0 10 3, d = 1.305 Å, 2θ = 72.43°, rel. 17

Structure:
a = 3.589 Å, b = 26.906 Å, c = 4.479 Å
α = 90.00°, β = 90.00°, γ = 90.00°
Space group Cmcm (No. 63)
One atom of each set of equivalent atoms:
1 Tb 0.000 0.073 0.250 (multiplicity 4)
2 Dy 0.000 0.209 0.750 (multiplicity 4)
3 Zn 0.000 0.329 0.750 (multiplicity 4)
4 Zn 0.000 0.382 0.250 (multiplicity 4)
5 Zn 0.000 0.477 0.250 (multiplicity 4)

***

Record 2
Diffraction record for TbDy4Zn4. The X-ray powder pattern is simulated, not measured: it uses a PBE-relaxed structure and Cu Kα (λ = 1.5418 Å).
Neutral-atom scattering factors, no anomalous dispersion.

Most intense lines, 2θ = 10–90°, in order of falling intensity:
hkl 1 3 0, d = 2.806 Å, 2θ = 31.89°, rel. 100
hkl 2 1 1, d = 3.314 Å, 2θ = 26.90°, rel. 67
hkl 1 0 2, d = 2.853 Å, 2θ = 31.35°, rel. 44
hkl 1 2 2, d = 2.400 Å, 2θ = 37.47°, rel. 35
hkl 4 2 0, d = 1.984 Å, 2θ = 45.73°, rel. 33
hkl 3 2 2, d = 1.906 Å, 2θ = 47.71°, rel. 30
hkl 5 0 1, d = 1.702 Å, 2θ = 53.85°, rel. 23
hkl 4 1 2, d = 1.751 Å, 2θ = 52.23°, rel. 18
hkl 3 0 2, d = 2.111 Å, 2θ = 42.84°, rel. 17
hkl 5 5 0, d = 1.255 Å, 2θ = 75.81°, rel. 12

Structure:
a = 8.873 Å, b = 8.873 Å, c = 6.027 Å
α = 90.00°, β = 90.00°, γ = 90.00°
Space group P4_2/n (No. 86, origin choice 2)
One atom of each set of equivalent atoms:
1 Tb 0.250 0.250 0.250 (multiplicity 2)
2 Dy 0.051 0.660 0.144 (multiplicity 8)
3 Zn 0.024 0.623 0.621 (multiplicity 8)